Starting from DFT lattice parameters and positions (PBE), the XRD peak list of KCdIn was computed for copper Kα.
Peak positions follow from Bragg's law for the DFT cell and can differ from measured ones.

Top 10 peaks for 2θ from 10° to 90°, by intensity:
35.52°, d = 2.527 Å, I 100; 32.52°, d = 2.754 Å, I 98; 28.59°, d = 3.122 Å, I 88; 28.69°, d = 3.111 Å, I 87; 14.42°, d = 6.144 Å, I 78; 34.36°, d = 2.610 Å, I 71; 19.85°, d = 4.472 Å, I 55; 41.28°, d = 2.187 Å, I 53; 41.15°, d = 2.194 Å, I 36; 48.16°, d = 1.889 Å, I 33

Structural model:
```
KCdIn
1.0
5.066 -4.332 0.000
5.066 4.332 0.000
-2.665 0.000 4.489
K Cd In
2 2 2
Direct
0.180 0.820 0.500
0.820 0.180 0.000
0.583 0.769 0.175
0.769 0.583 0.675
0.239 0.413 0.826
0.413 0.239 0.326
```